1.
For LiNiPHO5, a PBE+U-relaxed structure gives the theoretical powder diffraction line list in this record (λ = 1.5418 Å (Cu Kα)).
Kinematic intensities with the Lorentz-polarization factor, no thermal factor.

Crystal structure
Unit cell a=5.150 b=5.428 c=7.089 alpha=106.60 beta=107.96 gamma=100.20
Element x y z (fractional)
Li1 0.246 0.391 0.321
Li2 0.754 0.609 0.679
Ni1 0.500 0.000 0.000
Ni2 0.500 0.000 0.500
P1 0.176 0.362 0.738
P2 0.824 0.638 0.262
H1 0.151 0.925 0.155
H2 0.849 0.075 0.845
O1 0.137 0.747 0.433
O2 0.190 0.663 0.844
O3 0.212 0.212 0.894
O4 0.352 0.046 0.228
O5 0.386 0.343 0.621
O6 0.614 0.657 0.379
O7 0.648 0.954 0.772
O8 0.788 0.788 0.106
O9 0.810 0.337 0.156
O10 0.863 0.253 0.567

Most intense lines, 2θ = 10–90°, sorted by position:
2θ/deg, intensity, h k l
17.82, 298, 0 1 0
18.83, 144, 1 0 -1
18.93, 357, 1 0 0
21.95, 256, 1 -1 0
25.78, 153, -1 1 1
26.58, 242, 1 -1 1
27.52, 1000, 0 1 -2
29.74, 499, 1 1 0
35.59, 409, 1 -2 0
54.08, 177, 1 -3 2


2.
For Ca2VSbO6, a PBE+U-relaxed structure gives the theoretical powder diffraction line list in this record (λ = 1.5418 Å (Cu Kα)).
Kinematic intensities with the Lorentz-polarization factor, no thermal factor.

Crystal structure
Unit cell a=5.513 b=7.753 c=5.681 alpha=90.00 beta=90.05 gamma=90.00
Element x y z (fractional)
Ca1 0.004 0.250 0.457
Ca2 0.481 0.250 0.936
Ca3 0.519 0.750 0.064
Ca4 0.996 0.750 0.543
V1 0.500 0.000 0.500
V2 0.500 0.500 0.500
Sb1 0.000 0.000 0.000
Sb2 0.000 0.500 0.000
O1 0.104 0.750 0.966
O2 0.189 0.049 0.708
O3 0.189 0.451 0.708
O4 0.293 0.047 0.192
O5 0.293 0.453 0.192
O6 0.429 0.750 0.480
O7 0.571 0.250 0.520
O8 0.707 0.547 0.808
O9 0.707 0.953 0.808
O10 0.811 0.549 0.292
O11 0.811 0.951 0.292
O12 0.896 0.250 0.034

Most intense lines, 2θ = 10–90°, sorted by position:
2θ/deg, intensity, h k l
15.60, 152, 0 0 1
22.47, 348, 1 0 1
22.94, 150, 0 2 0
31.50, 261, 0 0 2
32.33, 1000, 1 2 -1
32.48, 245, 2 0 0
45.87, 318, 2 0 -2
46.87, 170, 0 4 0
56.61, 169, 1 2 -3
57.85, 252, 3 2 1


Copy entry 2 word for word.
For Ca2VSbO6, a PBE+U-relaxed structure gives the theoretical powder diffraction line list in this record (λ = 1.5418 Å (Cu Kα)).
Kinematic intensities with the Lorentz-polarization factor, no thermal factor.

Crystal structure
Unit cell a=5.513 b=7.753 c=5.681 alpha=90.00 beta=90.05 gamma=90.00
Element x y z (fractional)
Ca1 0.004 0.250 0.457
Ca2 0.481 0.250 0.936
Ca3 0.519 0.750 0.064
Ca4 0.996 0.750 0.543
V1 0.500 0.000 0.500
V2 0.500 0.500 0.500
Sb1 0.000 0.000 0.000
Sb2 0.000 0.500 0.000
O1 0.104 0.750 0.966
O2 0.189 0.049 0.708
O3 0.189 0.451 0.708
O4 0.293 0.047 0.192
O5 0.293 0.453 0.192
O6 0.429 0.750 0.480
O7 0.571 0.250 0.520
O8 0.707 0.547 0.808
O9 0.707 0.953 0.808
O10 0.811 0.549 0.292
O11 0.811 0.951 0.292
O12 0.896 0.250 0.034

Most intense lines, 2θ = 10–90°, sorted by position:
2θ/deg, intensity, h k l
15.60, 152, 0 0 1
22.47, 348, 1 0 1
22.94, 150, 0 2 0
31.50, 261, 0 0 2
32.33, 1000, 1 2 -1
32.48, 245, 2 0 0
45.87, 318, 2 0 -2
46.87, 170, 0 4 0
56.61, 169, 1 2 -3
57.85, 252, 3 2 1